LaGaGe2O7: computed powder XRD pattern (Cu Kα, 1.54184 Å), based on a DFT-relaxed cell (GGA-PBE, the Materials Project).
Peak positions follow from Bragg's law for the DFT cell and can differ from measured ones.

Structure:
abc: 7.439 6.710 13.143
angles: 90.00 117.62 90.00
Space group P2_1/c (No. 14)
Symmetry-distinct sites (fractional):
1 La 0.241 0.147 0.475
2 Ga 0.215 0.101 0.731
3 Ge 0.211 0.658 0.453
4 Ge 0.301 0.589 0.718
5 O 0.009 0.663 0.917
6 O 0.158 0.687 0.186
7 O 0.203 0.050 0.869
8 O 0.225 0.109 0.278
9 O 0.249 0.505 0.574
10 O 0.407 0.678 0.977
11 O 0.434 0.126 0.697

Peak list (10 most intense, 10° ≤ 2θ ≤ 90°, by angle)
| d/Å | I (rel.) | (hkl) |
| --- | --- | --- |
| 3.292 | 100.0 | 2 0 0 |
| 3.055 | 47.2 | 1 2 -1 |
| 2.969 | 24.6 | 2 0 -4 |
| 2.910 | 35.9 | 0 0 4 |
| 2.760 | 20.9 | 1 2 1 |
| 2.538 | 21.3 | 0 2 3 |
| 2.060 | 15.6 | 1 2 -5 |
| 1.935 | 14.2 | 3 2 -1 |
| 1.828 | 11.1 | 3 2 -5 |
| 1.769 | 13.8 | 2 2 3 |

La3GaGe5O16: computed powder XRD pattern (Cu Kα, 1.54184 Å), based on a DFT-relaxed cell (GGA-PBE, the Materials Project).
Peak positions follow from Bragg's law for the DFT cell and can differ from measured ones.

Structure:
abc: 4.889 8.213 15.866
angles: 89.26 85.72 89.96
Space group P-1 (No. 2)
Symmetry-distinct sites (fractional):
1 La 0.021 0.238 0.465
2 La 0.022 0.635 0.251
3 La 0.027 0.236 0.045
4 Ga 0.494 0.307 0.243
5 Ge 0.010 0.067 0.256
6 Ge 0.447 0.067 0.861
7 Ge 0.479 0.938 0.374
8 Ge 0.480 0.556 0.411
9 Ge 0.484 0.444 0.914
10 O 0.119 0.563 0.405
11 O 0.129 0.419 0.905
12 O 0.189 0.783 0.807
13 O 0.204 0.107 0.783
14 O 0.207 0.221 0.314
15 O 0.237 0.892 0.297
16 O 0.238 0.023 0.954
17 O 0.252 0.978 0.462
18 O 0.255 0.916 0.647
19 O 0.286 0.082 0.158
20 O 0.310 0.434 0.164
21 O 0.332 0.248 0.610
22 O 0.371 0.745 0.139
23 O 0.396 0.508 0.697
24 O 0.449 0.646 0.982
25 O 0.454 0.635 0.533

Peak list (10 most intense, 10° ≤ 2θ ≤ 90°, by angle)
| d/Å | I (rel.) | (hkl) |
| --- | --- | --- |
| 3.401 | 39.8 | 1 1 3 |
| 3.378 | 49.3 | 1 -1 3 |
| 3.191 | 100.0 | 1 0 4 |
| 3.174 | 42.0 | 1 1 -3 |
| 3.141 | 67.1 | 1 2 0 |
| 3.104 | 26.3 | 1 -2 1 |
| 2.964 | 75.2 | 1 0 -4 |
| 2.882 | 27.5 | -1 2 2 |
| 2.865 | 50.4 | 1 2 -2 |
| 2.438 | 69.7 | 2 0 0 |

LiGaGeO4: computed powder XRD pattern (Cu Kα, 1.54184 Å), based on a DFT-relaxed cell (GGA-PBE, the Materials Project).
Peak positions follow from Bragg's law for the DFT cell and can differ from measured ones.

Structure:
abc: 14.1617 14.1617 9.4393
angles: 90.00 90.00 120.00
Space group R-3 (No. 148, hexagonal axes)
Symmetry-distinct sites (fractional):
1 Li 0.0206 0.2108 0.2461
2 Ga 0.0138 0.2100 0.9184
3 Ge 0.0224 0.2154 0.5820
4 O 0.0022 0.3276 0.5703
5 O 0.0780 0.2046 0.7439
6 O 0.0943 0.2200 0.0733
7 O 0.0951 0.2073 0.4305

Peak list (10 most intense, 10° ≤ 2θ ≤ 90°, by angle)
| d/Å | I (rel.) | (hkl) |
| --- | --- | --- |
| 7.081 | 24.6 | 1 1 0 |
| 4.405 | 35.5 | 0 1 2 |
| 4.161 | 100.0 | 2 1 1 |
| 4.088 | 24.6 | 3 0 0 |
| 3.540 | 71.5 | 2 2 0 |
| 2.875 | 86.9 | 1 1 3 |
| 2.676 | 94.5 | 1 4 0 |
| 2.352 | 46.8 | 2 2 3 |
| 1.888 | 47.6 | 3 3 3 |
| 1.443 | 47.6 | 7 1 3 |

Li5GaGe2O8: computed powder XRD pattern (Cu Kα, 1.54184 Å), based on a DFT-relaxed cell (GGA-PBE, the Materials Project).
Peak positions follow from Bragg's law for the DFT cell and can differ from measured ones.

Structure:
abc: 5.126 10.872 6.466
angles: 90.00 90.19 90.00
Space group P2_1 (No. 4)
Symmetry-distinct sites (fractional):
1 Li 0.033 0.000 0.487
2 Li 0.063 0.240 0.252
3 Li 0.067 0.244 0.746
4 Li 0.428 0.911 0.245
5 Li 0.447 0.164 0.995
6 Ga 0.428 0.915 0.748
7 Ge 0.058 0.495 0.993
8 Ge 0.420 0.669 0.486
9 O 0.040 0.915 0.227
10 O 0.042 0.147 0.000
11 O 0.060 0.916 0.776
12 O 0.081 0.666 0.503
13 O 0.416 0.486 0.019
14 O 0.455 0.244 0.729
15 O 0.461 0.011 0.506
16 O 0.463 0.250 0.280

Peak list (10 most intense, 10° ≤ 2θ ≤ 90°, by angle)
| d/Å | I (rel.) | (hkl) |
| --- | --- | --- |
| 5.557 | 46.0 | 0 1 1 |
| 4.161 | 100.0 | 0 2 1 |
| 4.014 | 98.8 | 1 0 1 |
| 3.771 | 55.5 | 1 1 -1 |
| 3.232 | 34.5 | 1 2 -1 |
| 2.779 | 69.7 | 0 2 2 |
| 2.718 | 37.2 | 0 4 0 |
| 2.691 | 40.7 | 1 3 1 |
| 2.563 | 50.3 | 2 0 0 |
| 1.581 | 43.6 | 0 6 2 |

LuMn6GaGe5: computed powder XRD pattern (Cu Kα, 1.54184 Å), based on a DFT-relaxed cell (GGA-PBE, the Materials Project).
Peak positions follow from Bragg's law for the DFT cell and can differ from measured ones.

Structure:
abc: 5.1567 5.1567 8.1215
angles: 90.00 90.00 120.00
Space group P6mm (No. 183)
Symmetry-distinct sites (fractional):
1 Lu 0.0000 0.0000 0.0000
2 Mn 0.0000 0.5000 0.2473
3 Mn 0.0000 0.5000 0.7494
4 Ga 0.0000 0.0000 0.3427
5 Ge 0.0000 0.0000 0.6575
6 Ge 0.3333 0.6667 0.4966
7 Ge 0.3333 0.6667 0.9993

Peak list (10 most intense, 10° ≤ 2θ ≤ 90°, by angle)
| d/Å | I (rel.) | (hkl) |
| --- | --- | --- |
| 2.578 | 76.9 | 1 1 0 |
| 2.315 | 44.8 | 1 0 3 |
| 2.233 | 49.5 | 2 0 0 |
| 2.177 | 100.0 | 1 1 2 |
| 2.030 | 24.0 | 0 0 4 |
| 1.957 | 34.4 | 2 0 2 |
| 1.867 | 23.4 | 1 1 3 |
| 1.398 | 23.3 | 3 0 2 |
| 1.289 | 28.3 | 2 2 0 |
| 1.198 | 26.4 | 1 1 6 |

Mn6GaGe: computed powder XRD pattern (Cu Kα, 1.54184 Å), based on a DFT-relaxed cell (GGA-PBE, the Materials Project).
Peak positions follow from Bragg's law for the DFT cell and can differ from measured ones.

Structure:
abc: 5.1691 5.1691 4.1743
angles: 90.00 90.00 120.00
Space group P-6m2 (No. 187)
Symmetry-distinct sites (fractional):
1 Mn 0.0096 0.5048 0.0000
2 Mn 0.1741 0.3481 0.5000
3 Ga 0.6667 0.3333 0.5000
4 Ge 0.0000 0.0000 0.0000

Peak list (10 most intense, 10° ≤ 2θ ≤ 90°, by angle)
| d/Å | I (rel.) | (hkl) |
| --- | --- | --- |
| 3.053 | 3.2 | 1 0 1 |
| 2.585 | 1.0 | 1 1 0 |
| 2.238 | 24.9 | 2 0 0 |
| 2.087 | 26.9 | 0 0 2 |
| 1.973 | 100.0 | 2 0 1 |
| 1.526 | 13.7 | 2 0 2 |
| 1.292 | 14.8 | 2 2 0 |
| 1.182 | 16.6 | 2 0 3 |
| 1.119 | 2.3 | 4 0 0 |
| 1.099 | 17.5 | 2 2 2 |